Structure and computed XRD peak list of Li3Mn2P3O12 (a crystal structure in the Materials Project, relaxed with PBE+U; Cu Kα).
Intensities are scaled so that the largest is 100.

Cell and atoms:
Cell lengths 8.779, 8.779, 6.193 Å; angles 105.00, 105.00, 99.30 degrees
Positions (direct):
Li  0.000  0.000  0.000
Li  0.000  0.000  0.500
Li  0.198  0.802  0.750
Li  0.482  0.518  0.750
Li  0.518  0.482  0.250
Li  0.802  0.198  0.250
Mn  0.136  0.446  0.880
Mn  0.446  0.136  0.380
Mn  0.554  0.864  0.620
Mn  0.864  0.554  0.120
P  0.171  0.362  0.369
P  0.209  0.791  0.250
P  0.362  0.171  0.869
P  0.638  0.829  0.131
P  0.791  0.209  0.750
P  0.829  0.638  0.631
O  0.033  0.757  0.266
O  0.051  0.198  0.293
O  0.122  0.451  0.182
O  0.165  0.481  0.602
O  0.198  0.051  0.793
O  0.226  0.681  0.020
O  0.243  0.967  0.234
O  0.319  0.774  0.480
O  0.353  0.356  0.412
O  0.356  0.353  0.912
O  0.451  0.122  0.682
O  0.481  0.165  0.102
O  0.519  0.835  0.898
O  0.549  0.878  0.318
O  0.644  0.647  0.088
O  0.647  0.644  0.588
O  0.681  0.226  0.520
O  0.757  0.033  0.766
O  0.774  0.319  0.980
O  0.802  0.949  0.207
O  0.835  0.519  0.398
O  0.878  0.549  0.818
O  0.949  0.802  0.707
O  0.967  0.243  0.734

Principal peaks in the range 2θ from 5° to 70°, by angle:
2theta  I/Imax
13.23  27
15.93  48
17.02  100
24.70  28
26.51  34
29.89  71
31.03  41
31.79  72